Computed X-ray powder pattern of ZnHgS2 for Cu Kα X-rays, from a PBE-relaxed structure.

Atomic structure:
a b c (Å): 4.0367 4.0367 19.9509
angles (deg): 90.00 90.00 120.00
Space group R3m (No. 160, hexagonal axes)
Unique sites:
Zn (0.0000, 0.0000, 0.0000) x3
Hg (0.0000, 0.0000, 0.5037) x3
S (0.0000, 0.0000, 0.1176) x3
S (0.0000, 0.0000, 0.6322) x3

The 10 most intense peaks (2θ from 10° to 90°), in order of falling intensity:
2θ = 27.0°, d 3.299, I = 100, hkl 0 1 2; 2θ = 31.2°, d 2.863, I = 37, hkl 1 0 4; 2θ = 44.9°, d 2.018, I = 36, hkl 1 1 0; 2θ = 44.6°, d 2.030, I = 35, hkl 0 1 8; 2θ = 26.8°, d 3.325, I = 32, hkl 0 0 6; 2θ = 13.3°, d 6.650, I = 29, hkl 0 0 3; 2θ = 53.1°, d 1.725, I = 29, hkl 1 1 6; 2θ = 25.9°, d 3.443, I = 22, hkl 1 0 1; 2θ = 52.8°, d 1.733, I = 16, hkl 1 0 10; 2θ = 53.2°, d 1.722, I = 15, hkl 2 0 2

Computed X-ray powder pattern of RuO2F6 for Cu Kα X-rays, from a PBE-relaxed structure.

Atomic structure:
a b c (Å): 10.6793 10.6793 10.6793
angles (deg): 90.00 90.00 90.00
Space group Ia-3 (No. 206)
Unique sites:
Ru (0.0000, 0.0000, 0.0000) x8
O (0.2177, 0.2177, 0.2177) x16
F (0.0563, 0.0983, 0.6339) x48

The 10 most intense peaks (2θ from 10° to 90°), in order of falling intensity:
2θ = 23.6°, d 3.776, I = 100, hkl 2 2 0; 2θ = 16.6°, d 5.340, I = 73, hkl 2 0 0; 2θ = 41.4°, d 2.180, I = 30, hkl 4 2 2; 2θ = 65.4°, d 1.427, I = 16, hkl 6 4 2; 2θ = 51.3°, d 1.780, I = 16, hkl 4 4 2; 2θ = 48.2°, d 1.888, I = 13, hkl 4 4 0; 2θ = 54.3°, d 1.689, I = 12, hkl 6 2 0; 2θ = 29.0°, d 3.083, I = 11, hkl 2 2 2; 2θ = 62.7°, d 1.481, I = 10, hkl 6 4 0; 2θ = 73.1°, d 1.295, I = 9, hkl 8 0 2

Computed X-ray powder pattern of Rb3NaTiO4 for Cu Kα X-rays, from a PBE-relaxed structure.

Atomic structure:
a b c (Å): 10.8854 6.5006 11.0142
angles (deg): 90.00 112.64 90.00
Space group P2_1/c (No. 14)
Unique sites:
Rb (0.0381, 0.1545, 0.1695) x4
Rb (0.3202, 0.6232, 0.8945) x4
Rb (0.4558, 0.1155, 0.8110) x4
Na (0.1279, 0.6119, 0.1086) x4
Ti (0.2413, 0.1358, 0.9854) x4
O (0.1130, 0.1617, 0.4618) x4
O (0.2082, 0.0211, 0.8226) x4
O (0.2342, 0.5721, 0.5983) x4
O (0.4091, 0.2495, 0.5457) x4

The 10 most intense peaks (2θ from 10° to 90°), in order of falling intensity:
2θ = 31.2°, d 2.866, I = 100, hkl 1 2 1; 2θ = 29.1°, d 3.067, I = 63, hkl 3 1 -2; 2θ = 35.7°, d 2.514, I = 55, hkl 1 1 -4; 2θ = 29.4°, d 3.036, I = 49, hkl 2 0 2; 2θ = 29.0°, d 3.084, I = 48, hkl 2 1 -3; 2θ = 36.1°, d 2.487, I = 42, hkl 4 1 -1; 2θ = 53.3°, d 1.718, I = 18, hkl 3 2 3; 2θ = 46.8°, d 1.939, I = 17, hkl 0 1 5; 2θ = 49.5°, d 1.843, I = 17, hkl 2 3 -3; 2θ = 58.0°, d 1.589, I = 16, hkl 5 2 -5

Computed X-ray powder pattern of Li3SbP2O8 for Cu Kα X-rays, from a PBE-relaxed structure.

Atomic structure:
a b c (Å): 9.4806 9.4806 19.0061
angles (deg): 90.00 90.00 120.00
Space group R3 (No. 146, hexagonal axes)
Unique sites:
Li (0.0000, 0.0000, 0.0000) x3
Li (0.0000, 0.0000, 0.1417) x3
Li (0.0000, 0.0000, 0.4856) x3
Li (0.0004, 0.6069, 0.2344) x9
Li (0.0353, 0.2866, 0.0758) x9
Sb (0.0000, 0.0000, 0.3327) x3
Sb (0.0000, 0.0000, 0.6431) x3
Sb (0.0000, 0.0000, 0.8297) x3
P (0.9998, 0.3305, 0.2411) x9
P (0.0030, 0.6690, 0.0672) x9
O (0.0038, 0.2286, 0.1804) x9
O (0.0173, 0.8376, 0.0648) x9
O (0.0234, 0.1788, 0.5654) x9
O (0.0706, 0.3992, 0.9811) x9
O (0.0874, 0.6732, 0.3319) x9
O (0.0924, 0.6755, 0.4679) x9
O (0.1760, 0.1516, 0.4076) x9
O (0.1782, 0.4873, 0.5727) x9

The 10 most intense peaks (2θ from 10° to 90°), in order of falling intensity:
2θ = 23.4°, d 3.795, I = 100, hkl 1 1 3; 2θ = 21.6°, d 4.113, I = 100, hkl 1 0 4; 2θ = 32.7°, d 2.737, I = 99, hkl 3 0 0; 2θ = 34.0°, d 2.634, I = 76, hkl 1 1 6; 2θ = 18.7°, d 4.740, I = 65, hkl 1 1 0; 2θ = 47.9°, d 1.898, I = 48, hkl 4 -2 6; 2θ = 59.3°, d 1.560, I = 46, hkl 1 4 6; 2θ = 11.7°, d 7.537, I = 45, hkl 1 0 1; 2θ = 14.3°, d 6.213, I = 42, hkl 0 1 2; 2θ = 34.5°, d 2.598, I = 34, hkl 3 -1 4

Computed X-ray powder pattern of KSrMg14 for Cu Kα X-rays, from a PBE-relaxed structure.

Atomic structure:
a b c (Å): 10.8096 6.6549 11.6883
angles (deg): 90.00 90.00 90.00
Space group Amm2 (No. 38)
Unique sites:
K (0.0000, 0.0000, 0.0000) x2
Sr (0.0000, 0.0000, 0.4994) x2
Mg (0.0000, 0.2474, 0.7526) x4
Mg (0.2566, 0.0000, 0.6725) x4
Mg (0.2576, 0.0000, 0.1734) x4
Mg (0.2699, 0.2488, 0.4126) x8
Mg (0.5000, 0.0000, 0.0017) x2
Mg (0.5000, 0.0000, 0.5015) x2
Mg (0.5000, 0.2491, 0.2510) x4

The 10 most intense peaks (2θ from 10° to 90°), in order of falling intensity:
2θ = 35.2°, d 2.550, I = 100, hkl 2 2 2; 2θ = 34.9°, d 2.570, I = 51, hkl 2 0 4; 2θ = 33.2°, d 2.702, I = 37, hkl 4 0 0; 2θ = 30.9°, d 2.892, I = 26, hkl 0 2 2; 2θ = 65.4°, d 1.427, I = 19, hkl 4 2 6; 2θ = 54.6°, d 1.681, I = 18, hkl 0 2 6; 2θ = 60.6°, d 1.529, I = 17, hkl 6 2 2; 2θ = 46.0°, d 1.974, I = 16, hkl 4 2 2; 2θ = 67.0°, d 1.397, I = 14, hkl 2 4 4; 2θ = 30.6°, d 2.922, I = 13, hkl 0 0 4

Computed X-ray powder pattern of Mg5Pd2 for Cu Kα X-rays, from a PBE-relaxed structure.

Atomic structure:
a b c (Å): 8.8068 8.8068 8.0558
angles (deg): 90.00 90.00 120.00
Space group P6_3/mmc (No. 194)
Unique sites:
Mg (0.0000, 0.0000, 0.0000) x2
Mg (0.0722, 0.5361, 0.2500) x6
Mg (0.1926, 0.3852, 0.5616) x12
Pd (0.1238, 0.2476, 0.2500) x6
Pd (0.3333, 0.6667, 0.7500) x2

The 10 most intense peaks (2θ from 10° to 90°), in order of falling intensity:
2θ = 25.8°, d 3.447, I = 100, hkl 2 0 1; 2θ = 41.1°, d 2.196, I = 72, hkl 2 0 3; 2θ = 37.1°, d 2.424, I = 72, hkl 3 0 1; 2θ = 38.4°, d 2.344, I = 72, hkl 2 1 2; 2θ = 22.1°, d 4.028, I = 51, hkl 0 0 2; 2θ = 11.6°, d 7.627, I = 46, hkl 1 0 0; 2θ = 41.0°, d 2.202, I = 30, hkl 2 2 0; 2θ = 44.3°, d 2.046, I = 28, hkl 3 1 1; 2θ = 23.3°, d 3.813, I = 19, hkl 2 0 0; 2θ = 45.0°, d 2.014, I = 16, hkl 0 0 4